Entry 1:
Structure and computed X-ray powder pattern of CrPSe3 (a cell relaxed with GGA-PBE; Cu Kα (weighted mean of Kα1 and Kα2)).
Intensities are scaled so that the largest is 100.

Largest 12 diffraction maxima, by intensity, 10 to 90 degrees two-theta:
33.40°, I 100.0; 13.24°, I 42.0; 29.51°, I 38.9; 49.74°, I 33.7; 46.13°, I 28.2; 26.66°, I 27.6; 57.32°, I 14.5; 54.07°, I 10.2; 28.46°, I 10.2; 82.69°, I 9.8; 61.29°, I 9.1; 77.27°, I 6.7

Crystal structure
```
CrPSe3
1.0
3.1774 -5.4942 0.0000
3.1774 5.4942 0.0000
-2.1088 0.0000 6.6872
Cr P Se
2 2 6
Direct
0.1673 0.8327 0.0000
0.8327 0.1673 0.0000
0.4433 0.4433 0.8317
0.5567 0.5567 0.1683
0.0597 0.4238 0.7712
0.2116 0.2116 0.2294
0.4238 0.0597 0.7712
0.5762 0.9403 0.2288
0.7884 0.7884 0.7706
0.9403 0.5762 0.2288
```

***

Entry 2:
Structure and computed X-ray powder pattern of TiCrP (a cell relaxed with GGA-PBE; Cu Kα (weighted mean of Kα1 and Kα2)).
Intensities are scaled so that the largest is 100.

Largest 12 diffraction maxima, by intensity, 10 to 90 degrees two-theta:
39.55°, I 100.0; 42.90°, I 67.7; 43.11°, I 55.8; 49.24°, I 27.6; 81.14°, I 23.2; 51.92°, I 22.5; 73.92°, I 18.9; 56.84°, I 18.3; 78.47°, I 12.8; 67.33°, I 10.5; 60.09°, I 7.1; 15.96°, I 4.8

Crystal structure
```
TiCrP
1.0
6.4108 0.0000 0.0000
-3.2054 5.5519 0.0000
0.0000 0.0000 3.2396
Ti Cr P
3 3 3
Direct
0.0000 0.5951 0.0000
0.4049 0.4049 0.0000
0.5951 0.0000 0.0000
0.0000 0.2538 0.5000
0.2538 0.0000 0.5000
0.7462 0.7462 0.5000
0.0000 0.0000 0.0000
0.3333 0.6667 0.5000
0.6667 0.3333 0.5000
```